The following is a theoretical PXRD pattern of Er8Sn5Bi. It was derived from DFT lattice parameters and positions (PBE), using Cu Ka.
Kinematic intensities with the Lorentz-polarization factor, no thermal factor.

Lattice parameters (Å, degrees): 7.990 7.990 7.990 109.45 109.45 109.52
Positions (direct):
Er 0.024 0.125 0.754
Er 0.239 0.486 0.608
Er 0.369 0.761 0.247
Er 0.371 0.270 0.246
Er 0.514 0.122 0.753
Er 0.730 0.976 0.101
Er 0.875 0.629 0.899
Er 0.878 0.631 0.392
Sn 0.128 0.005 0.376
Sn 0.249 0.872 0.877
Sn 0.500 0.500 0.000
Sn 0.628 0.751 0.624
Sn 0.995 0.372 0.123
Bi 0.750 0.250 0.500

Peak list (8 most intense, 10 to 80 degrees two-theta, in order of rising 2θ)
2theta	intensity
30.6	100
36.4	68
48.3	18
50.4	23
62.0	26
63.8	12
65.6	15
75.8	16

The following is a theoretical PXRD pattern of Er4SnBi. It was derived from DFT lattice parameters and positions (PBE), using Cu Ka.
Kinematic intensities with the Lorentz-polarization factor, no thermal factor.

Lattice parameters (Å, degrees): 8.799 8.799 7.546 101.17 101.17 40.92
Positions (direct):
Er 0.048 0.808 0.562
Er 0.192 0.952 0.938
Er 0.213 0.477 0.881
Er 0.477 0.213 0.381
Er 0.523 0.787 0.619
Er 0.787 0.523 0.119
Er 0.808 0.048 0.062
Er 0.952 0.192 0.438
Sn 0.000 0.500 0.500
Sn 0.500 0.000 0.000
Bi 0.373 0.627 0.250
Bi 0.627 0.373 0.750

Peak list (8 most intense, 10 to 80 degrees two-theta, in order of rising 2θ)
2theta	intensity
11.0	24
26.7	27
29.2	36
29.7	55
32.6	100
35.7	46
37.1	29
38.7	48

The following is a theoretical PXRD pattern of Er8SnBi2. It was derived from DFT lattice parameters and positions (PBE), using Cu Ka.
Kinematic intensities with the Lorentz-polarization factor, no thermal factor.

Lattice parameters (Å, degrees): 9.554 9.554 6.819 92.16 92.16 31.38
Positions (direct):
Er 0.033 0.033 0.248
Er 0.216 0.216 0.129
Er 0.340 0.340 0.590
Er 0.409 0.409 0.064
Er 0.591 0.591 0.936
Er 0.660 0.660 0.410
Er 0.784 0.784 0.871
Er 0.967 0.967 0.752
Sn 0.500 0.500 0.500
Bi 0.166 0.166 0.675
Bi 0.834 0.834 0.325

Peak list (8 most intense, 10 to 80 degrees two-theta, in order of rising 2θ)
2theta	intensity
29.8	19
32.0	100
32.3	64
32.5	29
34.7	38
43.8	14
48.3	19
60.5	16

The following is a theoretical PXRD pattern of Er6SnBi5. It was derived from DFT lattice parameters and positions (PBE), using Cu Ka.
Kinematic intensities with the Lorentz-polarization factor, no thermal factor.

Lattice parameters (Å, degrees): 7.668 7.668 7.705 99.54 99.54 120.01
Positions (direct):
Er 0.082 0.409 0.746
Er 0.244 0.244 0.251
Er 0.409 0.082 0.746
Er 0.591 0.918 0.254
Er 0.756 0.756 0.749
Er 0.918 0.591 0.254
Sn 0.000 0.000 0.500
Bi 0.170 0.830 0.000
Bi 0.334 0.666 0.500
Bi 0.500 0.500 0.000
Bi 0.666 0.334 0.500
Bi 0.830 0.170 0.000

Peak list (8 most intense, 10 to 80 degrees two-theta, in order of rising 2θ)
2theta	intensity
28.5	100
40.6	39
40.8	39
50.5	21
58.9	13
66.6	19
66.8	18
74.1	14

The following is a theoretical PXRD pattern of Er4SnBi3. It was derived from DFT lattice parameters and positions (PBE), using Cu Ka.
Kinematic intensities with the Lorentz-polarization factor, no thermal factor.

Lattice parameters (Å, degrees): 6.263 6.263 6.263 90.00 90.00 90.00
Positions (direct):
Er 0.000 0.000 0.000
Er 0.000 0.500 0.500
Er 0.500 0.000 0.500
Er 0.500 0.500 0.000
Sn 0.500 0.500 0.500
Bi 0.000 0.000 0.500
Bi 0.000 0.500 0.000
Bi 0.500 0.000 0.000

Peak list (8 most intense, 10 to 80 degrees two-theta, in order of rising 2θ)
2theta	intensity
14.1	2
20.0	2
28.5	100
40.7	78
50.5	28
59.0	13
66.8	37
74.2	28

The following is a theoretical PXRD pattern of Tb3ErBi3. It was derived from DFT lattice parameters and positions (PBE), using Cu Ka.
Kinematic intensities with the Lorentz-polarization factor, no thermal factor.

Lattice parameters (Å, degrees): 8.198 8.198 8.198 67.37 67.37 67.37
Positions (direct):
Tb 0.084 0.827 0.337
Tb 0.173 0.663 0.916
Tb 0.337 0.084 0.827
Tb 0.663 0.916 0.173
Tb 0.827 0.337 0.084
Tb 0.916 0.173 0.663
Er 0.333 0.333 0.333
Er 0.667 0.667 0.667
Bi 0.082 0.477 0.692
Bi 0.308 0.918 0.523
Bi 0.477 0.692 0.082
Bi 0.523 0.308 0.918
Bi 0.692 0.082 0.477
Bi 0.918 0.523 0.308

Peak list (8 most intense, 10 to 80 degrees two-theta, in order of rising 2θ)
2theta	intensity
19.5	43
24.1	30
28.4	64
30.4	53
31.5	88
34.2	77
34.7	100
35.7	58

The following is a theoretical PXRD pattern of TbErBi. It was derived from DFT lattice parameters and positions (PBE), using Cu Ka.
Kinematic intensities with the Lorentz-polarization factor, no thermal factor.

Lattice parameters (Å, degrees): 6.416 6.416 8.618 90.00 90.05 90.00
Positions (direct):
Tb 0.250 0.000 0.154
Tb 0.250 0.500 0.846
Tb 0.750 0.000 0.846
Tb 0.750 0.500 0.154
Er 0.000 0.250 0.500
Er 0.000 0.750 0.500
Er 0.500 0.250 0.500
Er 0.500 0.750 0.500
Bi 0.250 0.000 0.782
Bi 0.250 0.500 0.218
Bi 0.750 0.000 0.218
Bi 0.750 0.500 0.782

Peak list (8 most intense, 10 to 80 degrees two-theta, in order of rising 2θ)
2theta	intensity
27.8	21
29.7	79
31.1	38
34.9	100
37.0	22
39.7	58
51.3	38
69.0	28

The following is a theoretical PXRD pattern of TbEr5Bi4. It was derived from DFT lattice parameters and positions (PBE), using Cu Ka.
Kinematic intensities with the Lorentz-polarization factor, no thermal factor.

Lattice parameters (Å, degrees): 10.123 10.123 7.658 101.10 101.10 24.95
Positions (direct):
Tb 0.000 0.000 0.000
Er 0.000 0.000 0.500
Er 0.303 0.303 0.387
Er 0.311 0.311 0.914
Er 0.689 0.689 0.086
Er 0.697 0.697 0.613
Bi 0.135 0.135 0.326
Bi 0.437 0.437 0.222
Bi 0.563 0.563 0.778
Bi 0.865 0.865 0.674

Peak list (8 most intense, 10 to 80 degrees two-theta, in order of rising 2θ)
2theta	intensity
24.4	37
26.1	32
32.4	100
32.8	34
32.9	28
38.5	51
41.3	35
53.8	32

The following is a theoretical PXRD pattern of TbEr2Bi3. It was derived from DFT lattice parameters and positions (PBE), using Cu Ka.
Kinematic intensities with the Lorentz-polarization factor, no thermal factor.

Lattice parameters (Å, degrees): 4.459 6.303 13.379 90.00 90.00 90.00
Positions (direct):
Tb 0.000 0.000 0.000
Tb 0.500 0.500 0.500
Er 0.000 0.000 0.334
Er 0.000 0.000 0.666
Er 0.500 0.500 0.166
Er 0.500 0.500 0.834
Bi 0.000 0.500 0.000
Bi 0.000 0.500 0.331
Bi 0.000 0.500 0.669
Bi 0.500 0.000 0.169
Bi 0.500 0.000 0.500
Bi 0.500 0.000 0.831

Peak list (8 most intense, 10 to 80 degrees two-theta, in order of rising 2θ)
2theta	intensity
24.5	3
28.3	100
40.5	78
47.8	1
50.1	28
58.6	13
66.3	37
73.6	28

The following is a theoretical PXRD pattern of Tb4Er3Bi4. It was derived from DFT lattice parameters and positions (PBE), using Cu Ka.
Kinematic intensities with the Lorentz-polarization factor, no thermal factor.

Lattice parameters (Å, degrees): 10.281 10.281 10.281 157.39 126.12 59.16
Positions (direct):
Tb 0.018 0.835 0.183
Tb 0.348 0.165 0.183
Tb 0.652 0.835 0.817
Tb 0.982 0.165 0.817
Er 0.000 0.500 0.500
Er 0.399 0.399 0.000
Er 0.601 0.601 0.000
Bi 0.265 0.765 0.500
Bi 0.296 0.000 0.296
Bi 0.704 0.000 0.704
Bi 0.735 0.235 0.500

Peak list (8 most intense, 10 to 80 degrees two-theta, in order of rising 2θ)
2theta	intensity
29.7	90
31.4	100
32.5	67
33.5	41
35.8	45
37.9	47
45.0	34
58.3	36

The following is a theoretical PXRD pattern of TbErTh2Bi5. It was derived from DFT lattice parameters and positions (PBE), using Cu Ka.
Kinematic intensities with the Lorentz-polarization factor, no thermal factor.

Lattice parameters (Å, degrees): 5.436 5.436 11.692 90.00 90.00 90.00
Positions (direct):
Tb 0.000 0.000 0.000
Er 0.000 0.000 0.500
Th 0.500 0.500 0.202
Th 0.500 0.500 0.798
Bi 0.000 0.000 0.254
Bi 0.000 0.000 0.746
Bi 0.000 0.500 0.000
Bi 0.500 0.000 0.000
Bi 0.500 0.500 0.500

Peak list (8 most intense, 10 to 80 degrees two-theta, in order of rising 2θ)
2theta	intensity
23.1	71
24.4	33
27.8	42
30.6	43
32.7	56
33.0	100
45.6	58
47.3	37

The following is a theoretical PXRD pattern of Er6Tc2Bi. It was derived from DFT lattice parameters and positions (PBE), using Cu Ka.
Kinematic intensities with the Lorentz-polarization factor, no thermal factor.

Lattice parameters (Å, degrees): 8.529 8.529 8.529 112.73 111.19 104.60
Positions (direct):
Er 0.028 0.244 0.784
Er 0.185 0.281 0.466
Er 0.185 0.719 0.904
Er 0.334 0.018 0.684
Er 0.334 0.649 0.316
Er 0.460 0.244 0.216
Er 0.540 0.756 0.784
Er 0.666 0.351 0.684
Er 0.666 0.982 0.316
Er 0.815 0.281 0.096
Er 0.815 0.719 0.534
Er 0.972 0.756 0.216
Tc 0.116 0.616 0.500
Tc 0.333 0.000 0.333
Tc 0.667 0.000 0.667
Tc 0.884 0.384 0.500
Bi 0.000 0.000 0.000
Bi 0.500 0.500 0.000

Peak list (8 most intense, 10 to 80 degrees two-theta, in order of rising 2θ)
2theta	intensity
29.8	24
31.6	100
33.3	30
34.1	50
34.8	40
35.1	21
38.1	22
59.4	22